Theoretical powder diffraction line list of Mg2Zn3Ga3 for Cu Kα, from a DFT-relaxed cell (PBE, Alexandria).
Intensities are scaled so that the largest is 100.

Cell and atoms:
```
data_Mg2Zn3Ga3
_cell_length_a 4.0946
_cell_length_b 4.1203
_cell_length_c 8.2338
_cell_angle_alpha 90.00
_cell_angle_beta 90.00
_cell_angle_gamma 90.00
_space_group_name_H-M_alt 'P m m m'
_space_group_IT_number 47
loop_
_space_group_symop_operation_xyz
'x,y,z'
'-x,-y,-z'
'-x,-y,z'
'x,y,-z'
'x,-y,-z'
'-x,y,z'
'-x,y,-z'
'x,-y,z'
loop_
_atom_site_label
_atom_site_type_symbol
_atom_site_fract_x
_atom_site_fract_y
_atom_site_fract_z
Mg1 Mg 0.0000 0.0000 0.2483
Zn1 Zn 0.0000 0.5000 0.0000
Zn2 Zn 0.0000 0.5000 0.5000
Zn3 Zn 0.5000 0.0000 0.0000
Ga1 Ga 0.5000 0.0000 0.5000
Ga2 Ga 0.5000 0.5000 0.2424
```

Largest 6 diffraction maxima, by intensity, 2θ = 10–80°:
index	2theta	I_rel
1 1 2	37.9	100
0 2 0	44.0	32
1 3 2	76.8	23
2 2 0	64.1	20
2 0 0	44.2	16
3 1 2	77.2	11

---

Theoretical powder diffraction line list of MgZn2Ga7 for Cu Kα, from a DFT-relaxed cell (PBE, Alexandria).
Intensities are scaled so that the largest is 100.

Cell and atoms:
```
data_MgZn2Ga7
_cell_length_a 8.5862
_cell_length_b 15.6430
_cell_length_c 2.9388
_cell_angle_alpha 90.00
_cell_angle_beta 90.00
_cell_angle_gamma 90.00
_space_group_name_H-M_alt 'C m m m'
_space_group_IT_number 65
_space_group_name_Hall '-C 2 2'
loop_
_atom_site_label
_atom_site_type_symbol
_atom_site_fract_x
_atom_site_fract_y
_atom_site_fract_z
Mg1 Mg 0.0000 0.0000 0.0000
Zn1 Zn 0.0000 0.3255 0.5000
Ga1 Ga 0.0000 0.1864 0.0000
Ga2 Ga 0.0000 0.5000 0.5000
Ga3 Ga 0.2304 0.0979 0.5000
```

Largest 6 diffraction maxima, by intensity, 2θ = 10–80°:
index	2theta	I_rel
2 6 0	40.5	100
1 5 1	43.5	64
4 0 0	42.1	54
2 4 0	30.9	45
3 1 1	44.6	42
2 2 0	23.6	40

---

Theoretical powder diffraction line list of Mg3Zn3Ga for Cu Kα, from a DFT-relaxed cell (PBE, Alexandria).
Intensities are scaled so that the largest is 100.

Cell and atoms:
```
data_Mg3Zn3Ga
_cell_length_a 10.3822
_cell_length_b 3.3030
_cell_length_c 15.4473
_cell_angle_alpha 90.00
_cell_angle_beta 105.20
_cell_angle_gamma 90.00
_space_group_name_H-M_alt 'C 1 2/m 1'
_space_group_IT_number 12
loop_
_space_group_symop_operation_xyz
'x,y,z'
'-x,-y,-z'
'-x,y,-z'
'x,-y,z'
'x+1/2,y+1/2,z'
'-x+1/2,-y+1/2,-z'
'-x+1/2,y+1/2,-z'
'x+1/2,-y+1/2,z'
loop_
_atom_site_label
_atom_site_type_symbol
_atom_site_fract_x
_atom_site_fract_y
_atom_site_fract_z
Mg1 Mg 0.0188 0.0000 0.1365
Mg2 Mg 0.1321 0.0000 0.4271
Mg3 Mg 0.2467 0.0000 0.7162
Zn1 Zn 0.0150 0.5000 0.7186
Zn2 Zn 0.0981 0.5000 0.5728
Zn3 Zn 0.1339 0.5000 0.0145
Ga1 Ga 0.2120 0.5000 0.8648
```

Largest 6 diffraction maxima, by intensity, 2θ = 10–80°:
index	2theta	I_rel
0 0 7	42.4	100
1 1 0	28.5	62
4 0 -5	40.5	56
1 1 -4	35.9	55
4 0 2	40.9	49
1 1 3	35.1	49

---

Theoretical powder diffraction line list of Mg2Zn4Ga5 for Cu Kα, from a DFT-relaxed cell (PBE, Alexandria).
Intensities are scaled so that the largest is 100.

Cell and atoms:
```
data_Mg2Zn4Ga5
_cell_length_a 5.3687
_cell_length_b 7.8594
_cell_length_c 9.4550
_cell_angle_alpha 90.00
_cell_angle_beta 90.00
_cell_angle_gamma 90.00
_space_group_name_H-M_alt 'I m m m'
_space_group_IT_number 71
_space_group_name_Hall '-I 2 2'
loop_
_atom_site_label
_atom_site_type_symbol
_atom_site_fract_x
_atom_site_fract_y
_atom_site_fract_z
Mg1 Mg 0.0000 0.0000 0.1685
Zn1 Zn 0.0000 0.3319 0.2562
Ga1 Ga 0.0000 0.5000 0.5000
Ga2 Ga 0.2478 0.1744 0.5000
```

Largest 6 diffraction maxima, by intensity, 2θ = 10–80°:
index	2theta	I_rel
2 0 2	38.6	100
1 3 2	42.9	79
0 0 4	38.1	72
0 3 1	35.6	63
2 2 2	45.2	59
1 1 0	20.0	48

---

Theoretical powder diffraction line list of Mg3ZnGa for Cu Kα, from a DFT-relaxed cell (PBE, Alexandria).
Intensities are scaled so that the largest is 100.

Cell and atoms:
```
data_Mg3ZnGa
_cell_length_a 9.8269
_cell_length_b 4.4373
_cell_length_c 9.7021
_cell_angle_alpha 90.00
_cell_angle_beta 107.81
_cell_angle_gamma 90.00
_space_group_name_H-M_alt 'C 1 2/m 1'
_space_group_IT_number 12
loop_
_space_group_symop_operation_xyz
'x,y,z'
'-x,-y,-z'
'-x,y,-z'
'x,-y,z'
'x+1/2,y+1/2,z'
'-x+1/2,-y+1/2,-z'
'-x+1/2,y+1/2,-z'
'x+1/2,-y+1/2,z'
loop_
_atom_site_label
_atom_site_type_symbol
_atom_site_fract_x
_atom_site_fract_y
_atom_site_fract_z
Mg1 Mg 0.0935 0.0000 0.4007
Mg2 Mg 0.0990 0.5000 0.9009
Mg3 Mg 0.2475 0.5000 0.2565
Zn1 Zn 0.1104 0.5000 0.6074
Ga1 Ga 0.1130 0.0000 0.1125
```

Largest 6 diffraction maxima, by intensity, 2θ = 10–80°:
index	2theta	I_rel
1 1 -1	23.0	100
2 0 -2	22.5	87
3 1 1	38.9	81
1 1 3	39.2	75
3 1 -3	39.8	62
0 2 0	40.7	54

---

Theoretical powder diffraction line list of Mg2Zn9Ga3 for Cu Kα, from a DFT-relaxed cell (PBE, Alexandria).
Intensities are scaled so that the largest is 100.

Cell and atoms:
```
data_Mg2Zn9Ga3
_cell_length_a 12.8177
_cell_length_b 8.2109
_cell_length_c 9.0870
_cell_angle_alpha 90.00
_cell_angle_beta 90.00
_cell_angle_gamma 90.00
_space_group_name_H-M_alt 'C m c m'
_space_group_IT_number 63
_space_group_name_Hall '-C 2c 2'
loop_
_atom_site_label
_atom_site_type_symbol
_atom_site_fract_x
_atom_site_fract_y
_atom_site_fract_z
Mg1 Mg 0.1614 0.1228 0.2500
Zn1 Zn 0.0000 0.1527 0.7500
Zn2 Zn 0.0000 0.3221 0.0940
Zn3 Zn 0.1003 0.4425 0.7500
Zn4 Zn 0.1672 0.1915 0.5873
Ga1 Ga 0.0000 0.0000 0.0000
Ga2 Ga 0.1828 0.5000 0.0000
```

Largest 6 diffraction maxima, by intensity, 2θ = 10–80°:
index	2theta	I_rel
3 1 3	38.0	100
3 3 0	39.1	83
0 2 3	36.9	53
3 3 2	44.1	48
3 1 4	46.6	33
6 0 0	42.3	33

---

Theoretical powder diffraction line list of Mg4Zn3Ga5 for Cu Kα, from a DFT-relaxed cell (PBE, Alexandria).
Intensities are scaled so that the largest is 100.

Cell and atoms:
```
data_Mg4Zn3Ga5
_cell_length_a 13.1245
_cell_length_b 5.0977
_cell_length_c 7.6583
_cell_angle_alpha 90.00
_cell_angle_beta 114.55
_cell_angle_gamma 90.00
_space_group_name_H-M_alt 'C 1 2/m 1'
_space_group_IT_number 12
loop_
_space_group_symop_operation_xyz
'x,y,z'
'-x,-y,-z'
'-x,y,-z'
'x,-y,z'
'x+1/2,y+1/2,z'
'-x+1/2,-y+1/2,-z'
'-x+1/2,y+1/2,-z'
'x+1/2,-y+1/2,z'
loop_
_atom_site_label
_atom_site_type_symbol
_atom_site_fract_x
_atom_site_fract_y
_atom_site_fract_z
Mg1 Mg 0.0778 0.0000 0.4120
Mg2 Mg 0.1822 0.0000 0.8584
Zn1 Zn 0.0000 0.0000 0.0000
Zn2 Zn 0.0528 0.5000 0.6870
Ga1 Ga 0.0000 0.5000 0.0000
Ga2 Ga 0.1841 0.5000 0.3639
Ga3 Ga 0.2318 0.0000 0.2476
```

Largest 6 diffraction maxima, by intensity, 2θ = 10–80°:
index	2theta	I_rel
0 2 0	35.2	100
5 1 -1	38.7	66
1 1 -3	40.4	45
5 1 -2	40.0	36
2 0 -1	15.0	30
2 0 2	34.8	24

---

Theoretical powder diffraction line list of MgZn7Ga12 for Cu Kα, from a DFT-relaxed cell (PBE, Alexandria).
Intensities are scaled so that the largest is 100.

Cell and atoms:
```
data_MgZn7Ga12
_cell_length_a 11.6048
_cell_length_b 11.6048
_cell_length_c 9.3282
_cell_angle_alpha 90.00
_cell_angle_beta 90.00
_cell_angle_gamma 120.00
_space_group_name_H-M_alt 'R -3'
_space_group_IT_number 148
_space_group_name_Hall '-R 3'
loop_
_atom_site_label
_atom_site_type_symbol
_atom_site_fract_x
_atom_site_fract_y
_atom_site_fract_z
Mg1 Mg 0.0000 0.0000 0.0000
Zn1 Zn 0.0000 0.0000 0.5000
Zn2 Zn 0.0135 0.1415 0.7406
Ga1 Ga 0.0415 0.7799 0.9277
Ga2 Ga 0.0499 0.5007 0.1413
```

Largest 6 diffraction maxima, by intensity, 2θ = 10–80°:
index	2theta	I_rel
5 -2 1	40.3	100
2 3 2	43.8	54
2 -1 3	32.7	38
2 2 3	42.6	36
4 -1 2	37.6	32
1 0 4	39.7	29

---

Theoretical powder diffraction line list of MgZrGa5 for Cu Kα, from a DFT-relaxed cell (PBE, Alexandria).
Intensities are scaled so that the largest is 100.

Cell and atoms:
```
data_MgZrGa5
_cell_length_a 6.9778
_cell_length_b 14.1397
_cell_length_c 5.4486
_cell_angle_alpha 90.00
_cell_angle_beta 90.00
_cell_angle_gamma 90.00
_space_group_name_H-M_alt 'C m c m'
_space_group_IT_number 63
_space_group_name_Hall '-C 2c 2'
loop_
_atom_site_label
_atom_site_type_symbol
_atom_site_fract_x
_atom_site_fract_y
_atom_site_fract_z
Mg1 Mg 0.0000 0.0000 0.0000
Zr1 Zr 0.0000 0.4358 0.2500
Ga1 Ga 0.0000 0.2209 0.2500
Ga2 Ga 0.1805 0.1811 0.7500
Ga3 Ga 0.1952 0.3893 0.7500
```

Largest 6 diffraction maxima, by intensity, 2θ = 10–80°:
index	2theta	I_rel
3 1 1	42.8	100
0 0 2	32.9	97
2 4 1	39.9	91
1 5 0	34.2	46
1 5 1	38.1	45
2 4 0	36.2	31

---

Theoretical powder diffraction line list of Mn2Ga5 for Cu Kα, from a DFT-relaxed cell (PBE, Alexandria).
Intensities are scaled so that the largest is 100.

Cell and atoms:
```
data_Mn2Ga5
_cell_length_a 8.8175
_cell_length_b 8.8175
_cell_length_c 2.6924
_cell_angle_alpha 90.00
_cell_angle_beta 90.00
_cell_angle_gamma 90.00
_space_group_name_H-M_alt 'P 4/m b m'
_space_group_IT_number 127
_space_group_name_Hall '-P 4 2ab'
loop_
_atom_site_label
_atom_site_type_symbol
_atom_site_fract_x
_atom_site_fract_y
_atom_site_fract_z
Mn1 Mn 0.1782 0.3218 0.0000
Ga1 Ga 0.0000 0.5000 0.5000
Ga2 Ga 0.0649 0.7940 0.5000
```

Largest 6 diffraction maxima, by intensity, 2θ = 10–80°:
index	2theta	I_rel
4 1 0	42.3	100
3 1 1	46.9	74
2 1 1	40.6	61
0 0 1	33.3	38
3 2 1	50.4	37
3 3 0	43.5	35